Li2MgSn: calculated X-ray powder pattern (Cu Kα), based on a GGA-PBE-relaxed structure.

Crystal structure
```
data_Li2MgSn
_chemical_formula_sum 'Li2 Mg1 Sn1'
_symmetry_space_group_name_H-M 'P 1'
_symmetry_Int_Tables_number 1
_cell_length_a 4.802
_cell_length_b 4.802
_cell_length_c 4.802
_cell_angle_alpha 60.00
_cell_angle_beta 60.00
_cell_angle_gamma 60.00
loop_
_symmetry_equiv_pos_as_xyz
'x,y,z'
loop_
_atom_site_label
_atom_site_type_symbol
_atom_site_fract_x
_atom_site_fract_y
_atom_site_fract_z
Li1 Li 0.000 0.000 0.000
Li2 Li 0.250 0.250 0.250
Mg1 Mg 0.500 0.500 0.500
Sn1 Sn 0.750 0.750 0.750
```

The 9 most intense peaks (2θ from 5° to 70°), by angle:
Position (°2θ), d (Å), I/Imax
22.68, 3.921, 100
26.24, 3.396, 34
37.45, 2.401, 75
44.23, 2.048, 53
46.31, 1.961, 10
54.01, 1.698, 13
59.31, 1.558, 23
61.01, 1.519, 14
67.57, 1.386, 27